1.
Simulated PXRD pattern
Compound: Ho4SnRu
Radiation: λ = 1.5418 Å (Cu Kα)
Structure: a crystal structure in Alexandria, relaxed with GGA-PBE
No peak broadening, texture or thermal motion is included.

```
data_Ho4SnRu
_chemical_formula_sum 'Ho16 Sn4 Ru4'
_cell_length_a 8.8535
_cell_length_b 13.3426
_cell_length_c 6.0968
_cell_angle_alpha 90.00
_cell_angle_beta 113.97
_cell_angle_gamma 90.00
_space_group_name_H-M_alt 'C 1 2/c 1'
_space_group_IT_number 15
loop_
_space_group_symop_operation_xyz
'x,y,z'
'-x,-y,-z'
'-x,y,-z+1/2'
'x,-y,z+1/2'
'x+1/2,y+1/2,z'
'-x+1/2,-y+1/2,-z'
'-x+1/2,y+1/2,-z+1/2'
'x+1/2,-y+1/2,z+1/2'
loop_
_atom_site_label
_atom_site_fract_x
_atom_site_fract_y
_atom_site_fract_z
Ho1 0.1113 0.1687 0.0654
Ho2 0.2195 0.4299 0.3415
Sn1 0.0000 0.3712 0.7500
Ru1 0.0000 0.9998 0.2500
```

Peak list (10 most intense, 10° ≤ 2θ ≤ 80°, sorted by position)
hkl 1 1 -2, 2θ 30.1, I 66; hkl 3 1 -1, 2θ 31.1, I 82; hkl 0 4 1, 2θ 31.3, I 52; hkl 2 4 -1, 2θ 34.4, I 44; hkl 2 2 1, 2θ 35.0, I 100; hkl 1 5 0, 2θ 35.4, I 30; hkl 1 3 -2, 2θ 35.8, I 45; hkl 3 3 0, 2θ 39.1, I 30; hkl 4 2 -3, 2θ 53.5, I 34; hkl 2 0 -4, 2θ 60.9, I 33

2.
Simulated PXRD pattern
Compound: Ho3Sn3Ru
Radiation: λ = 1.5418 Å (Cu Kα)
Structure: a crystal structure in Alexandria, relaxed with GGA-PBE
No peak broadening, texture or thermal motion is included.

```
data_Ho3Sn3Ru
_chemical_formula_sum 'Ho12 Sn12 Ru4'
_cell_length_a 11.0977
_cell_length_b 4.4189
_cell_length_c 15.0208
_cell_angle_alpha 90.00
_cell_angle_beta 108.65
_cell_angle_gamma 90.00
_space_group_name_H-M_alt 'C 1 2/m 1'
_space_group_IT_number 12
loop_
_space_group_symop_operation_xyz
'x,y,z'
'-x,-y,-z'
'-x,y,-z'
'x,-y,z'
'x+1/2,y+1/2,z'
'-x+1/2,-y+1/2,-z'
'-x+1/2,y+1/2,-z'
'x+1/2,-y+1/2,z'
loop_
_atom_site_label
_atom_site_fract_x
_atom_site_fract_y
_atom_site_fract_z
Ho1 0.0173 0.0000 0.3805
Ho2 0.1009 0.0000 0.9234
Ho3 0.2335 0.0000 0.2430
Sn1 0.0166 0.5000 0.2328
Sn2 0.1254 0.5000 0.0772
Sn3 0.1485 0.5000 0.5343
Ru1 0.2396 0.5000 0.3808
```

Peak list (10 most intense, 10° ≤ 2θ ≤ 80°, sorted by position)
hkl 1 1 3, 2θ 30.6, I 82; hkl 1 1 -4, 2θ 31.3, I 86; hkl 3 1 -1, 2θ 31.6, I 45; hkl 4 0 -2, 2θ 32.3, I 47; hkl 3 1 -4, 2θ 36.0, I 46; hkl 3 1 2, 2θ 38.0, I 100; hkl 0 2 0, 2θ 40.8, I 61; hkl 4 2 -2, 2θ 53.0, I 24; hkl 7 1 -3, 2θ 62.2, I 27; hkl 3 1 -11, 2θ 72.5, I 28

3.
Simulated PXRD pattern
Compound: Tb5Ho3Ru2
Radiation: λ = 1.5418 Å (Cu Kα)
Structure: a crystal structure in Alexandria, relaxed with GGA-PBE
No peak broadening, texture or thermal motion is included.

```
data_Tb5Ho3Ru2
_chemical_formula_sum 'Tb20 Ho12 Ru8'
_cell_length_a 12.1593
_cell_length_b 14.1291
_cell_length_c 6.6707
_cell_angle_alpha 90.00
_cell_angle_beta 90.00
_cell_angle_gamma 90.00
_space_group_name_H-M_alt 'I b a m'
_space_group_IT_number 72
_space_group_name_Hall '-I 2 2c'
loop_
_atom_site_label
_atom_site_fract_x
_atom_site_fract_y
_atom_site_fract_z
Tb1 0.0000 0.0000 0.2500
Tb2 0.0000 0.2252 0.2500
Tb3 0.2167 0.0614 0.0000
Ho1 0.0000 0.5000 0.2500
Ho2 0.2407 0.3152 0.0000
Ru1 0.1070 0.3433 0.5000
```

Peak list (10 most intense, 10° ≤ 2θ ≤ 80°, sorted by position)
hkl 2 4 0, 2θ 29.2, I 24; hkl 4 0 0, 2θ 29.4, I 37; hkl 1 4 1, 2θ 29.5, I 45; hkl 2 0 2, 2θ 30.6, I 100; hkl 3 4 1, 2θ 36.3, I 44; hkl 0 4 2, 2θ 37.1, I 22; hkl 4 4 0, 2θ 39.1, I 17; hkl 2 4 2, 2θ 40.0, I 24; hkl 6 0 2, 2θ 52.9, I 21; hkl 2 8 0, 2θ 54.1, I 15

4.
Simulated PXRD pattern
Compound: TbHo3Ru
Radiation: λ = 1.5418 Å (Cu Kα)
Structure: a crystal structure in Alexandria, relaxed with GGA-PBE
No peak broadening, texture or thermal motion is included.

```
data_TbHo3Ru
_chemical_formula_sum 'Tb2 Ho6 Ru2'
_cell_length_a 7.5955
_cell_length_b 6.3594
_cell_length_c 6.1769
_cell_angle_alpha 90.00
_cell_angle_beta 90.00
_cell_angle_gamma 90.00
_space_group_name_H-M_alt 'P m n 21'
_space_group_IT_number 31
loop_
_space_group_symop_operation_xyz
'x,y,z'
'-x+1/2,-y,z+1/2'
'-x,y,z'
'x+1/2,-y,z+1/2'
loop_
_atom_site_label
_atom_site_fract_x
_atom_site_fract_y
_atom_site_fract_z
Tb1 0.0000 0.1549 0.0000
Ho1 0.0000 0.8428 0.4905
Ho2 0.2497 0.3209 0.4955
Ru1 0.0000 0.5009 0.7451
```

Peak list (10 most intense, 10° ≤ 2θ ≤ 80°, sorted by position)
hkl 0 0 2, 2θ 28.9, I 28; hkl 2 1 1, 2θ 31.0, I 100; hkl 0 2 1, 2θ 31.6, I 46; hkl 2 1 2, 2θ 40.2, I 28; hkl 0 2 2, 2θ 40.7, I 14; hkl 4 0 0, 2θ 47.9, I 14; hkl 2 3 0, 2θ 49.2, I 24; hkl 2 1 3, 2θ 52.6, I 23; hkl 2 3 2, 2θ 58.1, I 16; hkl 4 2 1, 2θ 58.6, I 16

5.
Simulated PXRD pattern
Compound: Tb2Ho3Ru3
Radiation: λ = 1.5418 Å (Cu Kα)
Structure: a crystal structure in Alexandria, relaxed with GGA-PBE
No peak broadening, texture or thermal motion is included.

```
data_Tb2Ho3Ru3
_chemical_formula_sum 'Tb4 Ho6 Ru6'
_cell_length_a 3.4568
_cell_length_b 5.0793
_cell_length_c 20.6547
_cell_angle_alpha 90.00
_cell_angle_beta 90.00
_cell_angle_gamma 90.00
_space_group_name_H-M_alt 'I m m m'
_space_group_IT_number 71
_space_group_name_Hall '-I 2 2'
loop_
_atom_site_label
_atom_site_fract_x
_atom_site_fract_y
_atom_site_fract_z
Tb1 0.0000 0.0000 0.2181
Ho1 0.0000 0.0000 0.0000
Ho2 0.0000 0.5000 0.1096
Ru1 0.0000 0.0000 0.5000
Ru2 0.0000 0.5000 0.3858
```

Peak list (10 most intense, 10° ≤ 2θ ≤ 80°, sorted by position)
hkl 0 1 5, 2θ 27.8, I 20; hkl 0 0 8, 2θ 34.7, I 12; hkl 0 2 0, 2θ 35.3, I 33; hkl 1 1 4, 2θ 35.9, I 100; hkl 1 1 6, 2θ 41.0, I 12; hkl 0 0 10, 2θ 43.8, I 9; hkl 2 0 0, 2θ 53.0, I 10; hkl 1 3 4, 2θ 63.8, I 19; hkl 2 2 0, 2θ 65.3, I 11; hkl 1 1 14, 2θ 72.0, I 15

6.
Simulated PXRD pattern
Compound: Tb2Ho5Ru5
Radiation: λ = 1.5418 Å (Cu Kα)
Structure: a crystal structure in Alexandria, relaxed with GGA-PBE
No peak broadening, texture or thermal motion is included.

```
data_Tb2Ho5Ru5
_chemical_formula_sum 'Tb4 Ho10 Ru10'
_cell_length_a 8.3446
_cell_length_b 4.8142
_cell_length_c 13.5181
_cell_angle_alpha 90.00
_cell_angle_beta 101.79
_cell_angle_gamma 90.00
_space_group_name_H-M_alt 'C 1 2/m 1'
_space_group_IT_number 12
loop_
_space_group_symop_operation_xyz
'x,y,z'
'-x,-y,-z'
'-x,y,-z'
'x,-y,z'
'x+1/2,y+1/2,z'
'-x+1/2,-y+1/2,-z'
'-x+1/2,y+1/2,-z'
'x+1/2,-y+1/2,z'
loop_
_atom_site_label
_atom_site_fract_x
_atom_site_fract_y
_atom_site_fract_z
Tb1 0.0718 0.0000 0.2161
Ho1 0.0000 0.5000 0.5000
Ho2 0.1903 0.5000 0.0709
Ho3 0.2149 0.0000 0.6449
Ru1 0.0000 0.0000 0.0000
Ru2 0.1164 0.5000 0.8486
Ru3 0.1453 0.0000 0.4356
```

Peak list (10 most intense, 10° ≤ 2θ ≤ 80°, sorted by position)
hkl 1 1 2, 2θ 26.5, I 15; hkl 2 0 -4, 2θ 31.1, I 20; hkl 2 0 3, 2θ 32.8, I 19; hkl 1 1 4, 2θ 36.5, I 40; hkl 0 2 0, 2θ 37.3, I 100; hkl 2 0 4, 2θ 38.4, I 22; hkl 2 2 -5, 2θ 53.2, I 13; hkl 5 1 -6, 2θ 66.8, I 13; hkl 6 0 -2, 2θ 67.4, I 18; hkl 0 4 0, 2θ 79.6, I 11

7.
Simulated PXRD pattern
Compound: Ho2Tc3Ru
Radiation: λ = 1.5418 Å (Cu Kα)
Structure: a crystal structure in Alexandria, relaxed with GGA-PBE
No peak broadening, texture or thermal motion is included.

```
data_Ho2Tc3Ru
_chemical_formula_sum 'Ho4 Tc6 Ru2'
_cell_length_a 9.0593
_cell_length_b 5.2373
_cell_length_c 5.5364
_cell_angle_alpha 90.00
_cell_angle_beta 123.26
_cell_angle_gamma 90.00
_space_group_name_H-M_alt 'C 1 2/m 1'
_space_group_IT_number 12
loop_
_space_group_symop_operation_xyz
'x,y,z'
'-x,-y,-z'
'-x,y,-z'
'x,-y,z'
'x+1/2,y+1/2,z'
'-x+1/2,-y+1/2,-z'
'-x+1/2,y+1/2,-z'
'x+1/2,-y+1/2,z'
loop_
_atom_site_label
_atom_site_fract_x
_atom_site_fract_y
_atom_site_fract_z
Ho1 0.1250 0.0000 0.3747
Tc1 0.0000 0.5000 0.0000
Tc2 0.2500 0.2500 0.0000
Ru1 0.0000 0.5000 0.5000
```

Peak list (10 most intense, 10° ≤ 2θ ≤ 80°, sorted by position)
hkl 1 1 1, 2θ 32.5, I 71; hkl 0 2 0, 2θ 34.3, I 64; hkl 1 1 -2, 2θ 38.0, I 56; hkl 0 2 1, 2θ 39.5, I 100; hkl 3 1 0, 2θ 39.6, I 50; hkl 2 2 -1, 2θ 40.3, I 69; hkl 4 0 -2, 2θ 41.9, I 55; hkl 3 3 0, 2θ 64.9, I 29; hkl 2 2 2, 2θ 68.1, I 28; hkl 0 4 0, 2θ 72.2, I 35

8.
Simulated PXRD pattern
Compound: Ho5ThRu6
Radiation: λ = 1.5418 Å (Cu Kα)
Structure: a crystal structure in Alexandria, relaxed with GGA-PBE
No peak broadening, texture or thermal motion is included.

```
data_Ho5ThRu6
_chemical_formula_sum 'Ho5 Th1 Ru6'
_cell_length_a 4.8338
_cell_length_b 6.8338
_cell_length_c 7.5904
_cell_angle_alpha 90.00
_cell_angle_beta 108.40
_cell_angle_gamma 90.00
_space_group_name_H-M_alt 'P 1 2/m 1'
_space_group_IT_number 10
loop_
_space_group_symop_operation_xyz
'x,y,z'
'-x,-y,-z'
'-x,y,-z'
'x,-y,z'
loop_
_atom_site_label
_atom_site_fract_x
_atom_site_fract_y
_atom_site_fract_z
Ho1 0.0000 0.0000 0.0000
Ho2 0.3291 0.5000 0.6579
Ho3 0.3332 0.0000 0.6659
Th1 0.0000 0.5000 0.0000
Ru1 0.1626 0.2532 0.3263
Ru2 0.5000 0.2567 0.0000
```

Peak list (10 most intense, 10° ≤ 2θ ≤ 80°, sorted by position)
hkl 0 2 0, 2θ 26.1, I 6; hkl 2 0 -1, 2θ 37.3, I 100; hkl 0 0 3, 2θ 37.5, I 20; hkl 0 4 0, 2θ 53.7, I 14; hkl 2 0 -4, 2θ 53.9, I 7; hkl 3 2 0, 2θ 67.1, I 14; hkl 3 2 -3, 2θ 67.2, I 14; hkl 1 2 4, 2θ 67.4, I 7; hkl 1 2 -5, 2θ 67.5, I 7; hkl 2 4 2, 2θ 79.4, I 4